CsPaTl2I8: theoretical powder XRD pattern (CuKα), based on a cell relaxed with GGA-PBE.
Intensities are scaled so that the largest is 100.

Principal peaks in the range 2θ = 10–90°, by angle:
d_spacing, I/Imax, hkl
6.202, 28, 1 0 -1
5.741, 39, 1 -1 0
5.447, 55, 1 1 0
4.556, 50, 0 1 2
3.851, 31, 1 1 2
3.506, 23, 2 -1 0
3.074, 100, -1 2 2
2.981, 34, 1 2 2
2.723, 36, 0 0 4
2.283, 23, 3 0 2

```
data_CsPaTl2I8
_chemical_formula_sum 'Cs1 Pa1 Tl2 I8'
_space_group_name_H-M_alt 'P -1'
_space_group_IT_number 2
_cell_length_a 7.556
_cell_length_b 8.327
_cell_length_c 10.891
_cell_angle_alpha 90.13
_cell_angle_beta 90.05
_cell_angle_gamma 93.03
loop_
_space_group_symop_operation_xyz
'x,y,z'
'-x,-y,-z'
loop_
_atom_site_label
_atom_site_type_symbol
_atom_site_fract_x
_atom_site_fract_y
_atom_site_fract_z
Cs1 Cs 0.000 0.000 0.000
Pa1 Pa 0.000 0.000 0.500
Tl1 Tl 0.500 0.499 0.775
I1 I 0.141 0.787 0.308
I2 I 0.143 0.789 0.691
I3 I 0.331 0.201 0.499
I4 I 0.445 0.245 0.000
```

---

BaZn2Pt: theoretical powder XRD pattern (CuKα), based on a cell relaxed with GGA-PBE.
Intensities are scaled so that the largest is 100.

Principal peaks in the range 2θ = 10–90°, by angle:
d_spacing, I/Imax, hkl
5.675, 58, 0 0 1
3.801, 66, 2 0 -1
2.875, 46, 1 1 1
2.838, 44, 0 0 2
2.565, 72, 2 0 1
2.251, 100, 0 2 0
2.093, 28, 3 1 0
1.764, 64, 3 1 -3
1.692, 21, 2 2 1
1.352, 20, 5 1 0

```
data_BaZn2Pt
_chemical_formula_sum 'Ba2 Zn4 Pt2'
_space_group_name_H-M_alt 'C 1 m 1'
_space_group_IT_number 8
_cell_length_a 7.801
_cell_length_b 4.501
_cell_length_c 6.241
_cell_angle_alpha 90.00
_cell_angle_beta 114.58
_cell_angle_gamma 90.00
loop_
_space_group_symop_operation_xyz
'x,y,z'
'x,-y,z'
'x+1/2,y+1/2,z'
'x+1/2,-y+1/2,z'
loop_
_atom_site_label
_atom_site_type_symbol
_atom_site_fract_x
_atom_site_fract_y
_atom_site_fract_z
Ba1 Ba 0.000 0.000 0.000
Zn1 Zn 0.187 0.000 0.563
Zn2 Zn 0.480 0.000 0.442
Pt1 Pt 0.309 0.500 0.430
```

---

CsTbAgI6: theoretical powder XRD pattern (CuKα), based on a cell relaxed with GGA-PBE.
Intensities are scaled so that the largest is 100.

Principal peaks in the range 2θ = 10–90°, by angle:
d_spacing, I/Imax, hkl
8.196, 92, 0 0 1
5.734, 56, 0 1 -1
5.112, 87, -1 1 1
4.077, 75, 1 1 -1
3.813, 50, 1 0 -2
3.553, 78, 1 1 1
3.416, 62, -1 2 1
3.264, 100, 2 -1 1
2.780, 56, 1 2 -1
2.745, 87, -1 2 2

```
data_CsTbAgI6
_chemical_formula_sum 'Cs1 Tb1 Ag1 I6'
_space_group_name_H-M_alt 'P 1'
_space_group_IT_number 1
_cell_length_a 7.587
_cell_length_b 7.742
_cell_length_c 8.318
_cell_angle_alpha 93.48
_cell_angle_beta 97.28
_cell_angle_gamma 111.12
loop_
_space_group_symop_operation_xyz
'x,y,z'
loop_
_atom_site_label
_atom_site_type_symbol
_atom_site_fract_x
_atom_site_fract_y
_atom_site_fract_z
Cs1 Cs 0.000 0.000 0.000
Tb1 Tb 0.402 0.648 0.508
Ag1 Ag 0.785 0.341 0.446
I1 I 0.061 0.584 0.243
I2 I 0.109 0.318 0.639
I3 I 0.424 0.928 0.772
I4 I 0.483 0.390 0.244
I5 I 0.651 0.950 0.322
I6 I 0.698 0.539 0.715
```

---

ThIn3Au3: theoretical powder XRD pattern (CuKα), based on a cell relaxed with GGA-PBE.
Intensities are scaled so that the largest is 100.

Principal peaks in the range 2θ = 10–90°, by angle:
d_spacing, I/Imax, hkl
3.712, 42, 2 0 0
3.030, 100, 2 1 1
2.143, 23, 2 2 2
1.984, 61, 3 2 1
1.856, 29, 4 0 0
1.660, 17, 4 2 0
1.583, 15, 3 3 2
1.355, 18, 5 2 1
1.312, 19, 4 4 0
1.204, 18, 6 1 1

```
data_ThIn3Au3
_chemical_formula_sum 'Th2 In6 Au6'
_space_group_name_H-M_alt 'P m -3 n'
_space_group_IT_number 223
_space_group_name_Hall '-P 4n 2 3'
_cell_length_a 7.423
_cell_length_b 7.423
_cell_length_c 7.423
_cell_angle_alpha 90.00
_cell_angle_beta 90.00
_cell_angle_gamma 90.00
loop_
_atom_site_label
_atom_site_type_symbol
_atom_site_fract_x
_atom_site_fract_y
_atom_site_fract_z
Th1 Th 0.000 0.000 0.000
In1 In 0.000 0.250 0.500
Au1 Au 0.000 0.500 0.250
```

---

LiNi3Ru: theoretical powder XRD pattern (CuKα), based on a cell relaxed with GGA-PBE.
Intensities are scaled so that the largest is 100.

Principal peaks in the range 2θ = 10–90°, by angle:
d_spacing, I/Imax, hkl
6.895, 52, 0 0 1
5.500, 11, 2 0 -1
2.413, 7, 1 1 -1
2.090, 100, 1 1 -2
1.820, 32, 5 1 0
1.790, 15, 2 0 -4
1.277, 9, 7 1 -4
1.275, 9, 3 1 4
1.096, 17, 6 2 -2
1.095, 6, 9 1 2

```
data_LiNi3Ru
_chemical_formula_sum 'Li4 Ni12 Ru4'
_space_group_name_H-M_alt 'C 1 2/m 1'
_space_group_IT_number 12
_cell_length_a 13.353
_cell_length_b 2.576
_cell_length_c 7.160
_cell_angle_alpha 90.00
_cell_angle_beta 105.65
_cell_angle_gamma 90.00
loop_
_space_group_symop_operation_xyz
'x,y,z'
'-x,-y,-z'
'-x,y,-z'
'x,-y,z'
'x+1/2,y+1/2,z'
'-x+1/2,-y+1/2,-z'
'-x+1/2,y+1/2,-z'
'x+1/2,-y+1/2,z'
loop_
_atom_site_label
_atom_site_type_symbol
_atom_site_fract_x
_atom_site_fract_y
_atom_site_fract_z
Li1 Li 0.102 0.000 0.049
Ni1 Ni 0.001 0.500 0.256
Ni2 Ni 0.199 0.500 0.351
Ni3 Ni 0.203 0.500 0.850
Ru1 Ru 0.103 0.000 0.554
```

---

CrI7N6: theoretical powder XRD pattern (CuKα), based on a cell relaxed with GGA-PBE.
Intensities are scaled so that the largest is 100.

Principal peaks in the range 2θ = 10–90°, by angle:
d_spacing, I/Imax, hkl
7.715, 100, 0 2 0
3.860, 35, 0 4 0
3.429, 25, 3 1 1
3.223, 10, 2 0 -2
2.974, 14, 2 2 -2
2.903, 17, 3 3 1
2.582, 7, 5 1 -1
2.572, 8, 0 6 0
2.473, 9, 2 4 -2
2.320, 9, 3 5 1

```
data_CrI7N6
_chemical_formula_sum 'Cr2 I14 N12'
_space_group_name_H-M_alt 'C 1 2/m 1'
_space_group_IT_number 12
_cell_length_a 13.517
_cell_length_b 15.430
_cell_length_c 6.883
_cell_angle_alpha 90.00
_cell_angle_beta 97.97
_cell_angle_gamma 90.00
loop_
_space_group_symop_operation_xyz
'x,y,z'
'-x,-y,-z'
'-x,y,-z'
'x,-y,z'
'x+1/2,y+1/2,z'
'-x+1/2,-y+1/2,-z'
'-x+1/2,y+1/2,-z'
'x+1/2,-y+1/2,z'
loop_
_atom_site_label
_atom_site_type_symbol
_atom_site_fract_x
_atom_site_fract_y
_atom_site_fract_z
Cr1 Cr 0.000 0.000 0.000
I1 I 0.000 0.500 0.500
I2 I 0.084 0.000 0.668
I3 I 0.131 0.500 0.191
I4 I 0.239 0.500 0.752
N1 N 0.029 0.256 0.951
N2 N 0.124 0.000 0.113
```